No. 1
This entry pairs a crystal structure of Zr4ScTi2 with its simulated powder XRD pattern. Radiation: Cu Kα X-rays. Structure: the PBE geometry in Alexandria.
Kinematic intensities with the Lorentz-polarization factor, no thermal factor.

Crystal structure
```
data_Zr4ScTi2
_chemical_formula_sum 'Zr8 Sc2 Ti4'
_cell_length_a 5.6389
_cell_length_b 7.2191
_cell_length_c 8.6476
_cell_angle_alpha 79.80
_cell_angle_beta 71.01
_cell_angle_gamma 67.10
_symmetry_space_group_name_H-M 'P 1'
_symmetry_Int_Tables_number 1
loop_
_symmetry_equiv_pos_as_xyz
'x,y,z'
loop_
_atom_site_label
_atom_site_type_symbol
_atom_site_fract_x
_atom_site_fract_y
_atom_site_fract_z
_atom_site_occupancy
Zr1 Zr 0.0000 0.0000 0.0000 1
Zr2 Zr 0.0071 0.4705 0.5028 1
Zr3 Zr 0.0691 0.4273 0.8416 1
Zr4 Zr 0.5493 0.4170 0.0761 1
Zr5 Zr 0.5851 0.8781 0.9364 1
Zr6 Zr 0.6068 0.3487 0.4395 1
Zr7 Zr 0.6479 0.9323 0.3633 1
Zr8 Zr 0.9418 0.9220 0.5983 1
Sc1 Sc 0.2883 0.7621 0.2856 1
Sc2 Sc 0.9413 0.5870 0.1547 1
Ti1 Ti 0.2042 0.1746 0.2194 1
Ti2 Ti 0.3108 0.0816 0.6621 1
Ti3 Ti 0.4200 0.6751 0.7186 1
Ti4 Ti 0.6604 0.2676 0.7773 1
```

Most intense lines, 2θ from 15° to 90°, by intensity:
| 2θ/deg | d [Å] | intensity |
| --- | --- | --- |
| 36.57 | 2.457 | 100 |
| 37.55 | 2.395 | 55 |
| 26.86 | 3.319 | 46 |
| 36.08 | 2.489 | 40 |
| 36.40 | 2.468 | 40 |
| 40.23 | 2.242 | 39 |
| 35.85 | 2.505 | 38 |
| 36.87 | 2.438 | 36 |
| 31.12 | 2.874 | 35 |
| 32.05 | 2.792 | 35 |

=====

No. 2
This entry pairs a crystal structure of Sc2Tl with its simulated powder XRD pattern. Radiation: Cu Kα X-rays. Structure: the PBE geometry in Alexandria.
Kinematic intensities with the Lorentz-polarization factor, no thermal factor.

Crystal structure
```
data_Sc2Tl
_chemical_formula_sum 'Sc8 Tl4'
_cell_length_a 3.5828
_cell_length_b 15.7953
_cell_length_c 5.0148
_cell_angle_alpha 90.00
_cell_angle_beta 90.00
_cell_angle_gamma 90.00
_symmetry_space_group_name_H-M 'P 1'
_symmetry_Int_Tables_number 1
loop_
_symmetry_equiv_pos_as_xyz
'x,y,z'
loop_
_atom_site_label
_atom_site_type_symbol
_atom_site_fract_x
_atom_site_fract_y
_atom_site_fract_z
_atom_site_occupancy
Sc1 Sc 0.0000 0.0852 0.2500 1
Sc2 Sc 0.0000 0.2407 0.7500 1
Sc3 Sc 0.0000 0.7593 0.2500 1
Sc4 Sc 0.0000 0.9148 0.7500 1
Sc5 Sc 0.5000 0.2593 0.2500 1
Sc6 Sc 0.5000 0.4148 0.7500 1
Sc7 Sc 0.5000 0.5852 0.2500 1
Sc8 Sc 0.5000 0.7407 0.7500 1
Tl1 Tl 0.0000 0.4139 0.2500 1
Tl2 Tl 0.0000 0.5861 0.7500 1
Tl3 Tl 0.5000 0.0861 0.7500 1
Tl4 Tl 0.5000 0.9139 0.2500 1
```

Most intense lines, 2θ from 15° to 90°, by intensity:
| 2θ/deg | d [Å] | intensity |
| --- | --- | --- |
| 35.19 | 2.550 | 100 |
| 20.98 | 4.233 | 43 |
| 34.06 | 2.633 | 27 |
| 63.92 | 1.456 | 26 |
| 35.81 | 2.507 | 24 |
| 25.49 | 3.494 | 23 |
| 61.69 | 1.504 | 18 |
| 50.25 | 1.816 | 18 |
| 28.78 | 3.102 | 14 |
| 74.39 | 1.275 | 13 |

=====

No. 3
This entry pairs a crystal structure of Sc7Tl6 with its simulated powder XRD pattern. Radiation: Cu Kα X-rays. Structure: the PBE geometry in Alexandria.
Kinematic intensities with the Lorentz-polarization factor, no thermal factor.

Crystal structure
```
data_Sc7Tl6
_chemical_formula_sum 'Sc7 Tl6'
_cell_length_a 10.9026
_cell_length_b 10.9026
_cell_length_c 10.9026
_cell_angle_alpha 32.62
_cell_angle_beta 32.62
_cell_angle_gamma 32.62
_symmetry_space_group_name_H-M 'P 1'
_symmetry_Int_Tables_number 1
loop_
_symmetry_equiv_pos_as_xyz
'x,y,z'
loop_
_atom_site_label
_atom_site_type_symbol
_atom_site_fract_x
_atom_site_fract_y
_atom_site_fract_z
_atom_site_occupancy
Sc1 Sc 0.0000 0.0000 0.0000 1
Sc2 Sc 0.0845 0.0845 0.5859 1
Sc3 Sc 0.0845 0.5859 0.0845 1
Sc4 Sc 0.4141 0.9155 0.9155 1
Sc5 Sc 0.5859 0.0845 0.0845 1
Sc6 Sc 0.9155 0.4141 0.9155 1
Sc7 Sc 0.9155 0.9155 0.4141 1
Tl1 Tl 0.1672 0.1672 0.1672 1
Tl2 Tl 0.3407 0.3407 0.3407 1
Tl3 Tl 0.4424 0.4424 0.4424 1
Tl4 Tl 0.5576 0.5576 0.5576 1
Tl5 Tl 0.6593 0.6593 0.6593 1
Tl6 Tl 0.8328 0.8328 0.8328 1
```

Most intense lines, 2θ from 15° to 90°, by intensity:
| 2θ/deg | d [Å] | intensity |
| --- | --- | --- |
| 29.17 | 3.062 | 100 |
| 34.06 | 2.633 | 48 |
| 33.53 | 2.672 | 41 |
| 28.57 | 3.125 | 26 |
| 61.91 | 1.499 | 26 |
| 60.48 | 1.531 | 22 |
| 51.72 | 1.768 | 21 |
| 54.55 | 1.682 | 21 |
| 16.96 | 5.227 | 18 |
| 20.30 | 4.374 | 17 |

=====

No. 4
This entry pairs a crystal structure of Sc3Tl2 with its simulated powder XRD pattern. Radiation: Cu Kα X-rays. Structure: the PBE geometry in Alexandria.
Kinematic intensities with the Lorentz-polarization factor, no thermal factor.

Crystal structure
```
data_Sc3Tl2
_chemical_formula_sum 'Sc9 Tl6'
_cell_length_a 4.9596
_cell_length_b 4.9596
_cell_length_c 16.6380
_cell_angle_alpha 90.00
_cell_angle_beta 90.00
_cell_angle_gamma 120.00
_symmetry_space_group_name_H-M 'P 1'
_symmetry_Int_Tables_number 1
loop_
_symmetry_equiv_pos_as_xyz
'x,y,z'
loop_
_atom_site_label
_atom_site_type_symbol
_atom_site_fract_x
_atom_site_fract_y
_atom_site_fract_z
_atom_site_occupancy
Sc1 Sc 0.0000 0.0000 0.0000 1
Sc2 Sc 0.0000 0.0000 0.2077 1
Sc3 Sc 0.0000 0.0000 0.7923 1
Sc4 Sc 0.3333 0.6667 0.4589 1
Sc5 Sc 0.3333 0.6667 0.6667 1
Sc6 Sc 0.3333 0.6667 0.8744 1
Sc7 Sc 0.6667 0.3333 0.1256 1
Sc8 Sc 0.6667 0.3333 0.3333 1
Sc9 Sc 0.6667 0.3333 0.5411 1
Tl1 Tl 0.0000 0.0000 0.4073 1
Tl2 Tl 0.0000 0.0000 0.5927 1
Tl3 Tl 0.3333 0.6667 0.0740 1
Tl4 Tl 0.3333 0.6667 0.2594 1
Tl5 Tl 0.6667 0.3333 0.7406 1
Tl6 Tl 0.6667 0.3333 0.9260 1
```

Most intense lines, 2θ from 15° to 90°, by intensity:
| 2θ/deg | d [Å] | intensity |
| --- | --- | --- |
| 34.08 | 2.631 | 100 |
| 36.22 | 2.480 | 89 |
| 21.37 | 4.159 | 80 |
| 50.58 | 1.804 | 32 |
| 63.79 | 1.459 | 32 |
| 49.30 | 1.848 | 29 |
| 29.90 | 2.988 | 18 |
| 59.59 | 1.551 | 17 |
| 65.16 | 1.432 | 16 |
| 32.28 | 2.773 | 15 |